The following is a theoretical powder diffractogram of Na4Li5W10O30. It was derived from a DFT-relaxed cell (PBE+U, Alexandria), using CuKα.
No peak broadening, texture or thermal motion is included.

Structure:
```
data_Na4Li5W10O30
_chemical_formula_sum 'Na4 Li5 W10 O30'
_cell_length_a 8.8353
_cell_length_b 8.8676
_cell_length_c 8.8727
_cell_angle_alpha 65.85
_cell_angle_beta 89.63
_cell_angle_gamma 78.15
_space_group_name_H-M_alt 'P 1'
_space_group_IT_number 1
loop_
_space_group_symop_operation_xyz
'x,y,z'
loop_
_atom_site_label
_atom_site_type_symbol
_atom_site_fract_x
_atom_site_fract_y
_atom_site_fract_z
_atom_site_occupancy
Na1 Na 0.0000 0.0000 0.0000 1
Na2 Na 0.0951 0.4969 0.1969 1
Na3 Na 0.8007 0.9938 0.5980 1
Na4 Na 0.8981 0.4917 0.7996 1
Li1 Li 0.2925 0.4954 0.5088 1
Li2 Li 0.3147 0.9884 0.8482 1
Li3 Li 0.4233 0.5030 0.0497 1
Li4 Li 0.6815 0.6182 0.3598 1
Li5 Li 0.7001 0.9996 0.1565 1
W1 W 0.0518 0.2456 0.5945 1
W2 W 0.1528 0.7480 0.7976 1
W3 W 0.2522 0.2488 0.9960 1
W4 W 0.3587 0.7445 0.2043 1
W5 W 0.4497 0.2384 0.4002 1
W6 W 0.5476 0.7431 0.6027 1
W7 W 0.6521 0.2449 0.7944 1
W8 W 0.7522 0.7450 0.9968 1
W9 W 0.8519 0.2448 0.1988 1
W10 W 0.9549 0.7434 0.4058 1
O1 O 0.0337 0.7604 0.5952 1
O2 O 0.0547 0.2382 0.0933 1
O3 O 0.1449 0.9856 0.6964 1
O4 O 0.1508 0.2248 0.8020 1
O5 O 0.1610 0.7055 0.3165 1
O6 O 0.1754 0.5043 0.8971 1
O7 O 0.2428 0.2956 0.4831 1
O8 O 0.2735 0.7306 0.9990 1
O9 O 0.3071 0.9867 0.0895 1
O10 O 0.3501 0.2766 0.1820 1
O11 O 0.3696 0.7080 0.7167 1
O12 O 0.4209 0.4883 0.3009 1
O13 O 0.4406 0.2683 0.8853 1
O14 O 0.4592 0.7244 0.4093 1
O15 O 0.4783 0.0018 0.5034 1
O16 O 0.5544 0.2356 0.6091 1
O17 O 0.5659 0.7211 0.1195 1
O18 O 0.6309 0.4846 0.6920 1
O19 O 0.6627 0.2268 0.3042 1
O20 O 0.6644 0.7573 0.7960 1
O21 O 0.6787 0.0006 0.9291 1
O22 O 0.7353 0.7711 0.4865 1
O23 O 0.7461 0.2458 0.9943 1
O24 O 0.8291 0.4940 0.0909 1
O25 O 0.8482 0.7364 0.2101 1
O26 O 0.8542 0.1995 0.7193 1
O27 O 0.9035 0.9936 0.2709 1
O28 O 0.9532 0.7828 0.8970 1
O29 O 0.9567 0.2383 0.4060 1
O30 O 0.9655 0.4927 0.5282 1
```

The 6 most intense peaks (2θ from 5° to 70°), by angle:
hkl	two_theta	intensity
1 1 2	22.4	51.1
2 0 -1	22.5	100.0
3 1 1	32.0	36.2
-2 2 1	32.1	55.5
0 4 0	46.0	23.6
-4 2 2	51.8	22.3